Record 1
The following is a calculated powder diffraction line list of Hf3N2O3. It was derived from a DFT-relaxed cell (GGA-PBE, the Materials Project), using CuKα.

Crystal structure
```
16
Lattice="1.9794 -5.3238 0.0000 1.9794 5.3238 0.0000 0.0000 0.0000 10.7360" Properties=species:S:1:pos:R:3 pbc="T T T"
Hf 1.9794 3.8875 5.3680
Hf 1.9794 3.8609 1.2177
Hf 1.9794 3.3448 8.6335
Hf 1.9794 -3.3448 3.2655
Hf 1.9794 -3.8609 6.5857
Hf 1.9794 -3.8875 0.0000
N 1.9794 4.8261 7.1751
N 1.9794 2.1786 10.4963
N 1.9794 -2.1786 5.1284
N 1.9794 -4.8261 1.8071
O 1.9794 4.8449 10.0523
O 1.9794 2.7159 3.1374
O 1.9794 2.0399 6.8069
O 1.9794 -2.0399 1.4389
O 1.9794 -2.7159 8.5054
O 1.9794 -4.8449 4.6843
```

Largest 10 diffraction maxima, sorted by position, 10° ≤ 2θ ≤ 80°:
2θ = 16.7°, d 5.324, I 38.4
2θ = 24.0°, d 3.711, I 95.8
2θ = 30.1°, d 2.970, I 100.0
2θ = 33.9°, d 2.643, I 66.3
2θ = 34.8°, d 2.576, I 84.0
2θ = 42.3°, d 2.136, I 19.8
2θ = 45.8°, d 1.979, I 29.8
2θ = 51.6°, d 1.770, I 19.5
2θ = 55.3°, d 1.661, I 28.7
2θ = 55.8°, d 1.647, I 35.6

Record 2
The following is a calculated powder diffraction line list of Nd2InAu2. It was derived from a DFT-relaxed cell (GGA-PBE, the Materials Project), using CuKα.

Crystal structure
```
10
Lattice="8.1816 0.0000 0.0000 0.0000 8.1816 0.0000 0.0000 0.0000 3.8543" Properties=species:S:1:pos:R:3 pbc="T T T"
Nd 1.4184 2.6724 0.0000
Nd 2.6724 6.7632 0.0000
Nd 5.5092 1.4184 0.0000
Nd 6.7632 5.5092 0.0000
In 0.0000 0.0000 1.9271
In 4.0908 4.0908 1.9271
Au 1.0327 5.1235 1.9271
Au 3.0581 1.0327 1.9271
Au 5.1235 7.1490 1.9271
Au 7.1490 3.0581 1.9271
```

Largest 10 diffraction maxima, sorted by position, 10° ≤ 2θ ≤ 80°:
2θ = 15.3°, d 5.785, I 12.8
2θ = 31.9°, d 2.805, I 18.3
2θ = 33.8°, d 2.654, I 100.0
2θ = 34.7°, d 2.587, I 39.1
2θ = 39.7°, d 2.269, I 12.3
2θ = 47.2°, d 1.928, I 18.9
2θ = 59.8°, d 1.546, I 16.1
2θ = 62.7°, d 1.481, I 10.8
2θ = 66.1°, d 1.413, I 13.1
2θ = 79.0°, d 1.212, I 10.5

Record 3
The following is a calculated powder diffraction line list of LiBeH3. It was derived from a DFT-relaxed cell (GGA-PBE, the Materials Project), using CuKα.

Crystal structure
```
30
Lattice="6.0503 0.0000 0.0000 -0.0405 6.1719 0.0000 -0.8565 -1.6539 6.5548" Properties=species:S:1:pos:R:3 pbc="T T T"
Li 0.0508 1.5472 0.0299
Li 0.8194 4.6212 4.4887
Li 0.9134 1.4730 4.6059
Li 4.2399 3.0450 1.9490
Li 4.3339 -0.1031 2.0662
Li 5.1025 2.9709 6.5249
Be 1.0859 0.2051 2.0745
Be 1.0794 2.8412 2.1289
Be 2.4884 4.6183 0.8381
Be 2.6649 -0.1003 5.7168
Be 4.0738 1.6768 4.4259
Be 4.0674 4.3130 4.4803
H -0.0022 -0.0746 1.2085
H -0.0196 3.1505 1.2794
H 0.7591 -0.0172 3.4110
H 0.8541 3.0216 3.5100
H 0.9389 2.9506 6.1510
H 1.5331 1.5319 1.7662
H 1.2337 -0.0932 5.8216
H 2.3068 3.4900 1.7357
H 2.3432 -0.4087 1.7087
H 2.8101 4.9267 4.8462
H 2.8464 1.0281 4.8192
H 3.9196 4.6112 0.7332
H 3.6202 2.9861 4.7886
H 4.2144 1.5674 0.4038
H 4.2992 1.4964 3.0449
H 4.3942 4.5352 3.1438
H 5.1729 1.3675 5.2755
H 5.1554 4.5926 5.3463
```

Largest 10 diffraction maxima, sorted by position, 10° ≤ 2θ ≤ 80°:
2θ = 21.4°, d 4.161, I 25.8
2θ = 25.6°, d 3.478, I 31.9
2θ = 27.2°, d 3.277, I 44.7
2θ = 29.8°, d 2.999, I 37.8
2θ = 31.1°, d 2.873, I 44.3
2θ = 34.5°, d 2.601, I 48.2
2θ = 35.3°, d 2.541, I 100.0
2θ = 35.9°, d 2.501, I 95.0
2θ = 43.5°, d 2.080, I 45.6
2θ = 60.0°, d 1.543, I 25.9

Record 4
The following is a calculated powder diffraction line list of La2MgZnSbO6. It was derived from a DFT-relaxed cell (GGA-PBE, the Materials Project), using CuKα.

Crystal structure
```
11
Lattice="5.8163 0.0000 0.0000 2.7571 5.4506 0.0000 0.1720 3.0614 5.5875" Properties=species:S:1:pos:R:3 pbc="T T T"
La 0.0000 0.0000 0.0000
La 2.8817 1.8395 0.8686
Mg 5.8486 6.6841 4.7082
Zn 2.7506 5.5648 3.2454
Sb 5.7390 3.7107 2.2815
O 1.9727 3.9163 1.9171
O 3.8921 6.4722 4.7908
O 4.5429 5.4767 2.0393
O 3.7710 3.0402 5.0817
O 4.9881 1.4508 1.9047
O 7.0827 5.1492 4.7360
```

Largest 10 diffraction maxima, sorted by position, 10° ≤ 2θ ≤ 80°:
2θ = 15.9°, d 5.588, I 45.4
2θ = 28.8°, d 3.101, I 98.5
2θ = 29.4°, d 3.038, I 85.3
2θ = 29.9°, d 2.991, I 100.0
2θ = 30.8°, d 2.904, I 84.1
2θ = 32.1°, d 2.788, I 92.8
2θ = 33.1°, d 2.705, I 71.5
2θ = 42.2°, d 2.142, I 38.4
2θ = 44.6°, d 2.030, I 38.6
2θ = 54.3°, d 1.690, I 34.8